Entry 1:
This entry pairs a crystal structure of Ti3S4 with its computed X-ray powder pattern. Radiation: CuKα. Structure: a crystal structure in Alexandria, relaxed with PBE.

Largest 8 diffraction maxima, low angle first, 2θ = 5–70°:
| two_theta | d_spacing | intensity | index |
| --- | --- | --- | --- |
| 7.24 | 12.207 | 100 | 0 0 1 |
| 14.51 | 6.104 | 24 | 0 0 2 |
| 33.46 | 2.678 | 45 | 0 1 2 |
| 37.40 | 2.404 | 80 | 0 1 3 |
| 42.39 | 2.132 | 32 | 0 1 4 |
| 48.18 | 1.889 | 23 | 1 0 5 |
| 53.23 | 1.721 | 40 | 1 1 0 |
| 54.62 | 1.680 | 16 | 1 0 6 |

Structure:
```
data_Ti3S4
_chemical_formula_sum 'Ti3 S4'
_symmetry_space_group_name_H-M 'P 3 m 1'
_symmetry_Int_Tables_number 156
_cell_length_a 3.4414
_cell_length_b 3.4414
_cell_length_c 12.2071
_cell_angle_alpha 90.00
_cell_angle_beta 90.00
_cell_angle_gamma 120.00
loop_
_symmetry_equiv_pos_as_xyz
'x,y,z'
'-y,x-y,z'
'-x+y,-x,z'
'-y,-x,z'
'-x+y,y,z'
'x,x-y,z'
loop_
_atom_site_label
_atom_site_fract_x
_atom_site_fract_y
_atom_site_fract_z
_atom_site_occupancy
Ti1 0.0000 0.0000 0.0000 1
Ti2 0.0000 0.0000 0.2631 1
Ti3 0.3333 0.6667 0.7745 1
S1 0.0000 0.0000 0.6598 1
S2 0.3333 0.6667 0.1344 1
S3 0.6667 0.3333 0.3761 1
S4 0.6667 0.3333 0.8932 1
```

---

Entry 2:
This entry pairs a crystal structure of Ti7S12 with its computed X-ray powder pattern. Radiation: CuKα. Structure: a crystal structure in Alexandria, relaxed with PBE.

Largest 8 diffraction maxima, low angle first, 2θ = 5–70°:
| two_theta | d_spacing | intensity | index |
| --- | --- | --- | --- |
| 15.15 | 5.847 | 100 | 0 0 2 |
| 32.88 | 2.724 | 37 | -2 1 2 |
| 35.27 | 2.545 | 75 | 0 3 3 |
| 36.66 | 2.451 | 46 | -2 1 3 |
| 39.90 | 2.260 | 92 | 2 2 -3 |
| 47.62 | 1.909 | 30 | 0 3 -4 |
| 53.66 | 1.708 | 26 | 4 1 0 |
| 53.76 | 1.705 | 26 | 2 5 1 |

Structure:
```
data_Ti7S12
_chemical_formula_sum 'Ti14 S24'
_symmetry_space_group_name_H-M 'P -1'
_symmetry_Int_Tables_number 2
_cell_length_a 6.8324
_cell_length_b 9.0130
_cell_length_c 11.8593
_cell_angle_alpha 80.60
_cell_angle_beta 89.87
_cell_angle_gamma 79.00
loop_
_symmetry_equiv_pos_as_xyz
'x,y,z'
'-x,-y,-z'
loop_
_atom_site_label
_atom_site_fract_x
_atom_site_fract_y
_atom_site_fract_z
_atom_site_occupancy
Ti1 0.0000 0.0000 0.0000 1
Ti2 0.0790 0.6650 0.5012 1
Ti3 0.1698 0.3231 0.9990 1
Ti4 0.2514 0.0009 0.5030 1
Ti5 0.3196 0.7246 0.7330 1
Ti6 0.3336 0.6692 0.0039 1
Ti7 0.4184 0.3373 0.4971 1
Ti8 0.5000 0.0000 0.0000 1
S1 0.0285 0.8640 0.6277 1
S2 0.0613 0.7512 0.1225 1
S3 0.1081 0.5834 0.8775 1
S4 0.1315 0.4742 0.3769 1
S5 0.2000 0.1969 0.6200 1
S6 0.2294 0.0814 0.1218 1
S7 0.2717 0.9157 0.8733 1
S8 0.2981 0.8024 0.3844 1
S9 0.3686 0.5188 0.6297 1
S10 0.3989 0.4141 0.1262 1
S11 0.4373 0.2491 0.8771 1
S12 0.4601 0.1366 0.3723 1
```

---

Entry 3:
This entry pairs a crystal structure of Ti3S2 with its computed X-ray powder pattern. Radiation: CuKα. Structure: a crystal structure in Alexandria, relaxed with PBE.

Largest 8 diffraction maxima, low angle first, 2θ = 5–70°:
| two_theta | d_spacing | intensity | index |
| --- | --- | --- | --- |
| 33.76 | 2.655 | 60 | 0 2 1 |
| 34.01 | 2.636 | 48 | 1 1 2 |
| 34.40 | 2.607 | 100 | 3 1 0 |
| 35.31 | 2.542 | 70 | 1 2 1 |
| 37.35 | 2.407 | 43 | 3 1 1 |
| 47.32 | 1.921 | 57 | 1 1 3 |
| 50.94 | 1.793 | 41 | 4 0 2 |
| 53.42 | 1.715 | 64 | 2 3 1 |

Structure:
```
data_Ti3S2
_chemical_formula_sum 'Ti12 S8'
_symmetry_space_group_name_H-M 'P b c n'
_symmetry_Int_Tables_number 60
_cell_length_a 8.7335
_cell_length_b 5.8613
_cell_length_c 6.2706
_cell_angle_alpha 90.00
_cell_angle_beta 90.00
_cell_angle_gamma 90.00
loop_
_symmetry_equiv_pos_as_xyz
'x,y,z'
'-x,-y,-z'
'-x+1/2,-y+1/2,z+1/2'
'x+1/2,y+1/2,-z+1/2'
'x+1/2,-y+1/2,-z'
'-x+1/2,y+1/2,z'
'-x,y,-z+1/2'
'x,-y,z+1/2'
loop_
_atom_site_label
_atom_site_fract_x
_atom_site_fract_y
_atom_site_fract_z
_atom_site_occupancy
Ti1 0.0000 0.0595 0.2500 1
Ti2 0.1619 0.3878 0.6007 1
S1 0.1044 0.2517 0.9520 1
```

---

Entry 4:
This entry pairs a crystal structure of TiTl8S6 with its computed X-ray powder pattern. Radiation: CuKα. Structure: a crystal structure in Alexandria, relaxed with PBE.

Largest 8 diffraction maxima, low angle first, 2θ = 5–70°:
| two_theta | d_spacing | intensity | index |
| --- | --- | --- | --- |
| 18.07 | 4.908 | 32 | 0 2 1 |
| 25.52 | 3.491 | 83 | 0 3 1 |
| 26.86 | 3.319 | 67 | 0 1 3 |
| 27.47 | 3.247 | 92 | 2 2 1 |
| 27.95 | 3.193 | 100 | 2 1 2 |
| 31.30 | 2.858 | 43 | 2 2 2 |
| 32.93 | 2.720 | 37 | 2 3 1 |
| 34.03 | 2.635 | 47 | 2 1 3 |

Structure:
```
data_TiTl8S6
_chemical_formula_sum 'Ti2 Tl16 S12'
_symmetry_space_group_name_H-M 'P m n 21'
_symmetry_Int_Tables_number 31
_cell_length_a 8.6651
_cell_length_b 11.1245
_cell_length_c 10.4327
_cell_angle_alpha 90.00
_cell_angle_beta 90.00
_cell_angle_gamma 90.00
loop_
_symmetry_equiv_pos_as_xyz
'x,y,z'
'-x+1/2,-y,z+1/2'
'-x,y,z'
'x+1/2,-y,z+1/2'
loop_
_atom_site_label
_atom_site_fract_x
_atom_site_fract_y
_atom_site_fract_z
_atom_site_occupancy
Ti1 0.0000 0.1457 0.0000 1
Tl1 0.0000 0.6771 0.1687 1
Tl2 0.0000 0.8769 0.4433 1
Tl3 0.2179 0.0977 0.6992 1
Tl4 0.2301 0.2783 0.3725 1
Tl5 0.2381 0.4102 0.0310 1
S1 0.0000 0.1240 0.4910 1
S2 0.0000 0.3060 0.8649 1
S3 0.0000 0.4439 0.2390 1
S4 0.0000 0.9754 0.8842 1
S5 0.2233 0.1585 0.1197 1
```